BaLuBeAu: simulated XRD peak list (Cu Kα), based on a DFT-relaxed cell (GGA-PBE, OQMD).
Peak positions follow from Bragg's law for the DFT cell and can differ from measured ones.

Most intense lines, 10 to 90 degrees two-theta, in order of rising 2θ:
20.65 deg, 4.302 Å, I = 33; 34.03 deg, 2.634 Å, I = 100; 40.14 deg, 2.247 Å, I = 19; 48.89 deg, 1.863 Å, I = 18; 53.61 deg, 1.709 Å, I = 8; 60.91 deg, 1.521 Å, I = 38; 71.65 deg, 1.317 Å, I = 12; 81.74 deg, 1.178 Å, I = 17

Structure:
Cell: 5.2688 5.2688 5.2688 Å, 60.00 60.00 60.00°
Atoms (fractional coordinates):
Ba 0.0000 0.0000 0.0000
Lu 0.5000 0.5000 0.5000
Be 0.7500 0.7500 0.7500
Au 0.2500 0.2500 0.2500